No. 1
Diffraction record for Ru2W. The PXRD pattern is computed, not measured: it uses a cell relaxed with GGA-PBE and Cu Ka.

Structure:
Cell lengths 10.0196, 2.7690, 6.5411 Å; angles 90.00, 104.03, 90.00 degrees
Space group C2/m (No. 12)
Inequivalent atoms, fractional coordinates:
Ru: 0.0277 0.0000 0.3085 x4
Ru: 0.1929 0.5000 0.6344 x4
W: 0.1359 0.5000 0.0255 x4

Most intense lines, 5° ≤ 2θ ≤ 70°, low angle first:
d = 6.346 Å, 2θ = 14.0°, intensity 23, (0 0 1); d = 3.173 Å, 2θ = 28.1°, intensity 6, (0 0 2); d = 2.401 Å, 2θ = 37.5°, intensity 48, (1 1 1); d = 2.204 Å, 2θ = 40.9°, intensity 50, (4 0 -2); d = 2.115 Å, 2θ = 42.7°, intensity 34, (0 0 3); d = 2.108 Å, 2θ = 42.9°, intensity 100, (4 0 1); d = 2.105 Å, 2θ = 43.0°, intensity 64, (3 1 0); d = 1.629 Å, 2θ = 56.5°, intensity 5, (2 0 -4); d = 1.626 Å, 2θ = 56.6°, intensity 9, (3 1 -3); d = 1.621 Å, 2θ = 56.8°, intensity 15, (5 1 -1); d = 1.387 Å, 2θ = 67.5°, intensity 22, (3 1 3); d = 1.385 Å, 2θ = 67.7°, intensity 11, (0 2 0)

No. 2
Diffraction record for PmIn2Cu2. The PXRD pattern is computed, not measured: it uses a cell relaxed with GGA-PBE and Cu Ka.

Structure:
Cell lengths 6.5496, 6.4147, 10.2731 Å; angles 90.00, 90.00, 90.00 degrees
Space group Cmcm (No. 63)
Inequivalent atoms, fractional coordinates:
Pm: 0.0000 0.2211 0.2500 x4
In: 0.0000 0.3051 0.6124 x8
Cu: 0.1957 0.0000 0.0000 x8

Most intense lines, 5° ≤ 2θ ≤ 70°, low angle first:
d = 3.275 Å, 2θ = 27.2°, intensity 27, (2 0 0); d = 3.207 Å, 2θ = 27.8°, intensity 11, (0 2 0); d = 3.062 Å, 2θ = 29.2°, intensity 14, (0 2 1); d = 2.761 Å, 2θ = 32.4°, intensity 22, (2 0 2); d = 2.743 Å, 2θ = 32.6°, intensity 100, (1 1 3); d = 2.721 Å, 2θ = 32.9°, intensity 27, (0 2 2); d = 2.291 Å, 2θ = 39.3°, intensity 49, (2 2 0); d = 2.238 Å, 2θ = 40.3°, intensity 22, (2 2 1); d = 1.875 Å, 2θ = 48.6°, intensity 15, (1 1 5); d = 1.769 Å, 2θ = 51.7°, intensity 27, (3 1 3); d = 1.748 Å, 2θ = 52.3°, intensity 12, (1 3 3); d = 1.458 Å, 2θ = 63.9°, intensity 12, (4 2 0)

No. 3
Diffraction record for Nd3MgCu2. The PXRD pattern is computed, not measured: it uses a cell relaxed with GGA-PBE and Cu Ka.

Structure:
Cell lengths 3.6176, 3.6176, 11.5701 Å; angles 90.00, 90.00, 90.00 degrees
Space group P4/mmm (No. 123)
Inequivalent atoms, fractional coordinates:
Nd: 0.0000 0.0000 0.0000 x1
Nd: 0.0000 0.0000 0.3064 x2
Mg: 0.5000 0.5000 0.5000 x1
Cu: 0.5000 0.5000 0.1587 x2

Most intense lines, 5° ≤ 2θ ≤ 70°, low angle first:
d = 11.570 Å, 2θ = 7.6°, intensity 20, (0 0 1); d = 3.857 Å, 2θ = 23.1°, intensity 12, (0 0 3); d = 3.618 Å, 2θ = 24.6°, intensity 26, (1 0 0); d = 2.639 Å, 2θ = 34.0°, intensity 100, (1 0 3); d = 2.558 Å, 2θ = 35.1°, intensity 52, (1 1 0); d = 2.259 Å, 2θ = 39.9°, intensity 13, (1 0 4); d = 2.132 Å, 2θ = 42.4°, intensity 10, (1 1 3); d = 1.928 Å, 2θ = 47.1°, intensity 7, (0 0 6); d = 1.809 Å, 2θ = 50.5°, intensity 18, (2 0 0); d = 1.540 Å, 2θ = 60.1°, intensity 12, (1 1 6); d = 1.492 Å, 2θ = 62.2°, intensity 34, (2 1 3); d = 1.388 Å, 2θ = 67.5°, intensity 7, (1 1 7)

No. 4
Diffraction record for CsPa2Ag2Te6. The PXRD pattern is computed, not measured: it uses a cell relaxed with GGA-PBE and Cu Ka.

Structure:
Cell lengths 8.1558, 8.2198, 8.5043 Å; angles 64.98, 65.36, 61.38 degrees
Space group P-1 (No. 2)
Inequivalent atoms, fractional coordinates:
Cs: 0.0000 0.0000 0.0000 x1
Pa: 0.3401 0.3333 0.9878 x2
Ag: 0.3123 0.5770 0.4359 x2
Te: 0.0568 0.4870 0.7619 x2
Te: 0.3429 0.9330 0.2431 x2
Te: 0.4578 0.6839 0.7640 x2

Most intense lines, 5° ≤ 2θ ≤ 70°, low angle first:
d = 7.421 Å, 2θ = 11.9°, intensity 54, (0 0 1); d = 6.914 Å, 2θ = 12.8°, intensity 77, (0 1 0); d = 6.561 Å, 2θ = 13.5°, intensity 27, (1 1 1); d = 3.686 Å, 2θ = 24.1°, intensity 38, (1 2 0); d = 3.650 Å, 2θ = 24.4°, intensity 58, (-1 1 1); d = 3.508 Å, 2θ = 25.4°, intensity 19, (2 0 1); d = 3.472 Å, 2θ = 25.7°, intensity 100, (2 1 2); d = 2.838 Å, 2θ = 31.5°, intensity 64, (1 2 -1); d = 2.782 Å, 2θ = 32.2°, intensity 43, (-1 1 2); d = 2.671 Å, 2θ = 33.5°, intensity 23, (1 2 3); d = 2.404 Å, 2θ = 37.4°, intensity 23, (0 3 1); d = 2.124 Å, 2θ = 42.6°, intensity 25, (1 -1 3)

No. 5
Diffraction record for ErHf2Ga6. The PXRD pattern is computed, not measured: it uses a cell relaxed with GGA-PBE and Cu Ka.

Structure:
Cell lengths 7.7041, 7.7041, 3.1848 Å; angles 90.00, 90.00, 120.00 degrees
Space group P6/mmm (No. 191)
Inequivalent atoms, fractional coordinates:
Er: 0.0000 0.0000 0.0000 x1
Hf: 0.3333 0.6667 0.0000 x2
Ga: 0.0000 0.3366 0.5000 x6

Most intense lines, 5° ≤ 2θ ≤ 70°, low angle first:
d = 3.852 Å, 2θ = 23.1°, intensity 26, (1 1 0); d = 2.455 Å, 2θ = 36.6°, intensity 100, (1 1 1); d = 2.224 Å, 2θ = 40.6°, intensity 63, (3 0 0); d = 1.926 Å, 2θ = 47.2°, intensity 4, (2 2 0); d = 1.823 Å, 2θ = 50.0°, intensity 1, (3 0 1); d = 1.648 Å, 2θ = 55.8°, intensity 30, (2 2 1); d = 1.592 Å, 2θ = 57.9°, intensity 7, (0 0 2); d = 1.472 Å, 2θ = 63.2°, intensity 3, (1 1 2); d = 1.456 Å, 2θ = 63.9°, intensity 3, (4 1 0)